For SrMg2GeN, a PBE-relaxed structure gives the theoretical XRD peak list in this record (λ = 1.5418 Å (Cu Kα)).

```
data_SrMg2GeN
_chemical_formula_sum 'Sr1 Mg2 Ge1 N1'
_symmetry_space_group_name_H-M 'P 4 m m'
_symmetry_Int_Tables_number 99
_cell_length_a 4.1117
_cell_length_b 4.1117
_cell_length_c 6.4204
_cell_angle_alpha 90.00
_cell_angle_beta 90.00
_cell_angle_gamma 90.00
loop_
_symmetry_equiv_pos_as_xyz
'x,y,z'
'-y,x,z'
'-x,-y,z'
'y,-x,z'
'-x,y,z'
'y,x,z'
'x,-y,z'
'-y,-x,z'
loop_
_atom_site_label
_atom_site_type_symbol
_atom_site_fract_x
_atom_site_fract_y
_atom_site_fract_z
_atom_site_occupancy
Sr1 Sr 0.0000 0.0000 0.0000 1
Mg1 Mg 0.0000 0.5000 0.5103 1
Ge1 Ge 0.5000 0.5000 0.2094 1
N1 N 0.0000 0.0000 0.6088 1
```

Principal peaks in the range 2θ from 10° to 90°, low angle first:
13.79 deg, rel. 43, hkl 0 0 1; 25.73 deg, rel. 78, hkl 1 0 1; 33.84 deg, rel. 100, hkl 1 1 1; 35.48 deg, rel. 83, hkl 1 0 2; 44.05 deg, rel. 46, hkl 2 0 0; 57.78 deg, rel. 40, hkl 2 1 2


For Mg2VGeN4, a PBE-relaxed structure gives the theoretical XRD peak list in this record (λ = 1.5418 Å (Cu Kα)).

```
data_Mg2VGeN4
_chemical_formula_sum 'Mg4 V2 Ge2 N8'
_symmetry_space_group_name_H-M 'I -4 2 m'
_symmetry_Int_Tables_number 121
_symmetry_space_group_name_Hall 'I -4 2'
_cell_length_a 4.5885
_cell_length_b 4.5885
_cell_length_c 9.2573
_cell_angle_alpha 90.00
_cell_angle_beta 90.00
_cell_angle_gamma 90.00
loop_
_atom_site_label
_atom_site_type_symbol
_atom_site_fract_x
_atom_site_fract_y
_atom_site_fract_z
_atom_site_occupancy
Mg1 Mg 0.0000 0.5000 0.2500 1
V1 V 0.0000 0.0000 0.0000 1
Ge1 Ge 0.0000 0.0000 0.5000 1
N1 N 0.2449 0.2449 0.1082 1
```

Principal peaks in the range 2θ from 10° to 90°, low angle first:
19.17 deg, rel. 23, hkl 0 0 2; 33.74 deg, rel. 100, hkl 1 1 2; 39.27 deg, rel. 15, hkl 2 0 0; 56.48 deg, rel. 29, hkl 2 0 4; 56.75 deg, rel. 15, hkl 2 2 0; 67.67 deg, rel. 23, hkl 3 1 2


For Na2MgGeO4, a PBE-relaxed structure gives the theoretical XRD peak list in this record (λ = 1.5418 Å (Cu Kα)).

```
data_Na2MgGeO4
_chemical_formula_sum 'Na4 Mg2 Ge2 O8'
_symmetry_space_group_name_H-M 'P 1 c 1'
_symmetry_Int_Tables_number 7
_cell_length_a 5.4274
_cell_length_b 5.7144
_cell_length_c 8.9919
_cell_angle_alpha 90.00
_cell_angle_beta 127.03
_cell_angle_gamma 90.00
loop_
_symmetry_equiv_pos_as_xyz
'x,y,z'
'x,-y,z+1/2'
loop_
_atom_site_label
_atom_site_type_symbol
_atom_site_fract_x
_atom_site_fract_y
_atom_site_fract_z
_atom_site_occupancy
Na1 Na 0.0000 0.1701 0.0000 1
Na2 Na 0.2534 0.3216 0.7551 1
Mg1 Mg 0.7381 0.3153 0.2497 1
Ge1 Ge 0.4871 0.1845 0.5023 1
O1 O 0.1341 0.2073 0.4742 1
O2 O 0.4280 0.2950 0.2981 1
O3 O 0.5964 0.1164 0.0311 1
O4 O 0.7727 0.3499 0.7040 1
```

Principal peaks in the range 2θ from 10° to 90°, low angle first:
19.86 deg, rel. 64, hkl 0 1 1; 20.51 deg, rel. 71, hkl 1 0 0; 29.38 deg, rel. 53, hkl 0 1 2; 31.31 deg, rel. 45, hkl 0 2 0; 33.01 deg, rel. 64, hkl 2 0 -2; 33.80 deg, rel. 100, hkl 1 1 1


For NaMg2GeS4, a PBE-relaxed structure gives the theoretical XRD peak list in this record (λ = 1.5418 Å (Cu Kα)).

```
data_NaMg2GeS4
_chemical_formula_sum 'Na2 Mg4 Ge2 S8'
_symmetry_space_group_name_H-M 'P m n 21'
_symmetry_Int_Tables_number 31
_cell_length_a 8.3925
_cell_length_b 7.2529
_cell_length_c 6.4806
_cell_angle_alpha 90.00
_cell_angle_beta 90.00
_cell_angle_gamma 90.00
loop_
_symmetry_equiv_pos_as_xyz
'x,y,z'
'-x+1/2,-y,z+1/2'
'-x,y,z'
'x+1/2,-y,z+1/2'
loop_
_atom_site_label
_atom_site_type_symbol
_atom_site_fract_x
_atom_site_fract_y
_atom_site_fract_z
_atom_site_occupancy
Na1 Na 0.0000 0.1515 0.0000 1
Mg1 Mg 0.2437 0.3353 0.5128 1
Ge1 Ge 0.0000 0.8178 0.5124 1
S1 S 0.0000 0.1573 0.4301 1
S2 S 0.0000 0.7870 0.8789 1
S3 S 0.2314 0.6584 0.3930 1
```

Principal peaks in the range 2θ from 10° to 90°, low angle first:
24.52 deg, rel. 100, hkl 0 2 0; 27.53 deg, rel. 58, hkl 0 0 2; 28.17 deg, rel. 50, hkl 2 1 1; 43.16 deg, rel. 77, hkl 4 0 0; 49.07 deg, rel. 57, hkl 2 1 3; 51.96 deg, rel. 54, hkl 4 0 2


Copy entry 1 word for word.
For SrMg2GeN, a PBE-relaxed structure gives the theoretical XRD peak list in this record (λ = 1.5418 Å (Cu Kα)).

```
data_SrMg2GeN
_chemical_formula_sum 'Sr1 Mg2 Ge1 N1'
_symmetry_space_group_name_H-M 'P 4 m m'
_symmetry_Int_Tables_number 99
_cell_length_a 4.1117
_cell_length_b 4.1117
_cell_length_c 6.4204
_cell_angle_alpha 90.00
_cell_angle_beta 90.00
_cell_angle_gamma 90.00
loop_
_symmetry_equiv_pos_as_xyz
'x,y,z'
'-y,x,z'
'-x,-y,z'
'y,-x,z'
'-x,y,z'
'y,x,z'
'x,-y,z'
'-y,-x,z'
loop_
_atom_site_label
_atom_site_type_symbol
_atom_site_fract_x
_atom_site_fract_y
_atom_site_fract_z
_atom_site_occupancy
Sr1 Sr 0.0000 0.0000 0.0000 1
Mg1 Mg 0.0000 0.5000 0.5103 1
Ge1 Ge 0.5000 0.5000 0.2094 1
N1 N 0.0000 0.0000 0.6088 1
```

Principal peaks in the range 2θ from 10° to 90°, low angle first:
13.79 deg, rel. 43, hkl 0 0 1; 25.73 deg, rel. 78, hkl 1 0 1; 33.84 deg, rel. 100, hkl 1 1 1; 35.48 deg, rel. 83, hkl 1 0 2; 44.05 deg, rel. 46, hkl 2 0 0; 57.78 deg, rel. 40, hkl 2 1 2


Which formula does entry 1 have? SrMg2GeN